Record 1
# ErZn5
Theoretical XRD peak list, λ = 1.5418 Å (Cu Kα). Input: a cell relaxed with PBE.
Lines closer than 0.1° are merged.

a = 5.276 Å, b = 5.276 Å, c = 4.233 Å
α = 90.00°, β = 90.00°, γ = 120.00°
Element x y z (fractional)
Er1 0.000 0.000 0.000
Zn1 0.000 0.500 0.500
Zn2 0.333 0.667 0.000
Zn3 0.500 0.000 0.500
Zn4 0.500 0.500 0.500
Zn5 0.667 0.333 0.000

Largest 10 diffraction maxima, by intensity, 2θ = 10–80°:
| d (Å) | intensity |
| --- | --- |
| 2.239 | 100 |
| 3.105 | 47 |
| 2.285 | 35 |
| 2.638 | 31 |
| 2.116 | 27 |
| 1.433 | 23 |
| 1.553 | 20 |
| 1.319 | 16 |
| 1.651 | 15 |
| 1.244 | 14 |

***

Record 2
# Er2Zn17
Theoretical XRD peak list, λ = 1.5418 Å (Cu Kα). Input: a cell relaxed with PBE.
Lines closer than 0.1° are merged.

a = 6.785 Å, b = 6.785 Å, c = 6.785 Å
α = 82.47°, β = 82.47°, γ = 82.47°
Element x y z (fractional)
Er1 0.165 0.165 0.165
Er2 0.835 0.835 0.835
Zn1 0.000 0.500 0.500
Zn2 0.148 0.148 0.662
Zn3 0.148 0.662 0.148
Zn4 0.201 0.500 0.799
Zn5 0.201 0.799 0.500
Zn6 0.338 0.852 0.852
Zn7 0.400 0.400 0.400
Zn8 0.500 0.000 0.500
Zn9 0.500 0.201 0.799
Zn10 0.500 0.500 0.000
Zn11 0.500 0.799 0.201
Zn12 0.600 0.600 0.600
Zn13 0.662 0.148 0.148
Zn14 0.799 0.201 0.500
Zn15 0.799 0.500 0.201
Zn16 0.852 0.338 0.852
Zn17 0.852 0.852 0.338

Largest 10 diffraction maxima, by intensity, 2θ = 10–80°:
| d (Å) | intensity |
| --- | --- |
| 2.227 | 100 |
| 2.236 | 58 |
| 2.582 | 40 |
| 2.200 | 32 |
| 3.137 | 29 |
| 1.994 | 26 |
| 2.512 | 24 |
| 1.276 | 20 |
| 2.182 | 20 |
| 1.291 | 19 |

***

Record 3
# Er2Zn17
Theoretical XRD peak list, λ = 1.5418 Å (Cu Kα). Input: a cell relaxed with PBE.
Lines closer than 0.1° are merged.

a = 8.968 Å, b = 8.968 Å, c = 8.716 Å
α = 90.00°, β = 90.00°, γ = 120.01°
Element x y z (fractional)
Er1 0.000 0.000 0.250
Er2 0.000 0.000 0.750
Er3 0.334 0.666 0.750
Er4 0.666 0.334 0.250
Zn1 0.000 0.500 0.000
Zn2 0.000 0.500 0.500
Zn3 0.032 0.362 0.250
Zn4 0.032 0.671 0.250
Zn5 0.161 0.839 0.518
Zn6 0.161 0.839 0.982
Zn7 0.162 0.323 0.518
Zn8 0.162 0.323 0.982
Zn9 0.323 0.162 0.018
Zn10 0.323 0.162 0.482
Zn11 0.329 0.362 0.250
Zn12 0.329 0.968 0.250
Zn13 0.333 0.667 0.097
Zn14 0.333 0.667 0.403
Zn15 0.362 0.032 0.750
Zn16 0.362 0.329 0.750
Zn17 0.500 0.000 0.000
Zn18 0.500 0.000 0.500
Zn19 0.500 0.500 0.000
Zn20 0.500 0.500 0.500
Zn21 0.638 0.671 0.250
Zn22 0.638 0.968 0.250
Zn23 0.667 0.333 0.597
Zn24 0.667 0.333 0.903
Zn25 0.671 0.032 0.750
Zn26 0.671 0.638 0.750
Zn27 0.677 0.838 0.518
Zn28 0.677 0.838 0.982
Zn29 0.838 0.677 0.018
Zn30 0.838 0.677 0.482
Zn31 0.839 0.161 0.018
Zn32 0.839 0.161 0.482
Zn33 0.968 0.329 0.750
Zn34 0.968 0.638 0.750

Largest 10 diffraction maxima, by intensity, 2θ = 10–80°:
| d (Å) | intensity |
| --- | --- |
| 2.226 | 100 |
| 2.242 | 56 |
| 2.589 | 41 |
| 2.179 | 32 |
| 2.326 | 32 |
| 3.125 | 27 |
| 1.993 | 26 |
| 1.267 | 21 |
| 1.294 | 20 |
| 1.414 | 18 |

***

Record 4
# Er6Zn23
Theoretical XRD peak list, λ = 1.5418 Å (Cu Kα). Input: a cell relaxed with PBE.
Lines closer than 0.1° are merged.

a = 8.941 Å, b = 8.941 Å, c = 8.941 Å
α = 60.00°, β = 60.00°, γ = 60.00°
Element x y z (fractional)
Er1 0.205 0.205 0.795
Er2 0.205 0.795 0.205
Er3 0.205 0.795 0.795
Er4 0.795 0.205 0.205
Er5 0.795 0.205 0.795
Er6 0.795 0.795 0.205
Zn1 0.000 0.000 0.500
Zn2 0.000 0.500 0.000
Zn3 0.000 0.500 0.500
Zn4 0.132 0.623 0.623
Zn5 0.170 0.170 0.170
Zn6 0.170 0.170 0.489
Zn7 0.170 0.489 0.170
Zn8 0.377 0.377 0.377
Zn9 0.377 0.377 0.868
Zn10 0.377 0.868 0.377
Zn11 0.489 0.170 0.170
Zn12 0.500 0.000 0.000
Zn13 0.500 0.000 0.500
Zn14 0.500 0.500 0.000
Zn15 0.500 0.500 0.500
Zn16 0.511 0.830 0.830
Zn17 0.623 0.132 0.623
Zn18 0.623 0.623 0.132
Zn19 0.623 0.623 0.623
Zn20 0.830 0.511 0.830
Zn21 0.830 0.830 0.511
Zn22 0.830 0.830 0.830
Zn23 0.868 0.377 0.377

Largest 10 diffraction maxima, by intensity, 2θ = 10–80°:
| d (Å) | intensity |
| --- | --- |
| 2.235 | 100 |
| 2.433 | 83 |
| 2.581 | 30 |
| 1.490 | 23 |
| 2.901 | 20 |
| 2.107 | 18 |
| 1.271 | 18 |
| 3.650 | 14 |
| 1.545 | 14 |
| 1.222 | 14 |